Structure and calculated powder diffraction line list of Eu2PdAu (a cell relaxed with GGA-PBE; Cu Kα, 1.54184 Å).
Lines closer than 0.1° are merged.

Structure:
```
Eu2PdAu
1.0
0.000 3.706 3.706
3.706 0.000 3.706
3.706 3.706 0.000
Eu Pd Au
2 1 1
Direct
0.250 0.250 0.250
0.750 0.750 0.750
0.000 0.000 0.000
0.500 0.500 0.500
```

The 7 most intense peaks (5° ≤ 2θ ≤ 70°), in order of falling intensity:
| 2theta | Rel. int. |
| --- | --- |
| 34.2 | 100 |
| 61.3 | 37 |
| 49.2 | 18 |
| 20.8 | 5 |
| 40.4 | 3 |
| 53.9 | 1 |
| 65.4 | 1 |


Structure and calculated powder diffraction line list of Eu2PtAu (a cell relaxed with GGA-PBE; Cu Kα, 1.54184 Å).
Lines closer than 0.1° are merged.

Structure:
```
Eu2PtAu
1.0
0.000 3.690 3.690
3.690 0.000 3.690
3.690 3.690 0.000
Eu Pt Au
2 1 1
Direct
0.250 0.250 0.250
0.750 0.750 0.750
0.000 0.000 0.000
0.500 0.500 0.500
```

The 6 most intense peaks (5° ≤ 2θ ≤ 70°), in order of falling intensity:
| 2theta | Rel. int. |
| --- | --- |
| 34.4 | 100 |
| 61.6 | 38 |
| 49.4 | 18 |
| 24.1 | 2 |
| 55.7 | 1 |
| 42.4 | 1 |